Calculated powder diffractogram
Compound: LaThTe6
Radiation: a wavelength of 1.5418 Å
Structure: a cell relaxed with GGA-PBE
Intensities are scaled so that the largest is 100.

Top 10 peaks for 2θ from 10° to 80°, low angle first:
two_theta  intensity
13.2  23
26.5  37
28.4  25
30.0  100
32.8  52
33.3  21
36.8  38
40.3  58
48.9  28
67.0  20

Atomic structure:
a = 4.4723 Å, b = 4.4714 Å, c = 26.9170 Å
α = 90.00°, β = 90.00°, γ = 90.00°
Fractional positions:
La  0.0000  0.0000  0.0000
La  0.0000  0.5000  0.5000
Th  0.5000  0.0000  0.3388
Th  0.5000  0.5000  0.8388
Te  0.0000  0.0000  0.2488
Te  0.0000  0.0000  0.5925
Te  0.0000  0.0000  0.8737
Te  0.0000  0.5000  0.0925
Te  0.0000  0.5000  0.3737
Te  0.0000  0.5000  0.7488
Te  0.5000  0.0000  0.0926
Te  0.5000  0.0000  0.4603
Te  0.5000  0.0000  0.7488
Te  0.5000  0.5000  0.2488
Te  0.5000  0.5000  0.5926
Te  0.5000  0.5000  0.9603

---

Calculated powder diffractogram
Compound: CuSn3I
Radiation: a wavelength of 1.5418 Å
Structure: a cell relaxed with GGA-PBE
Intensities are scaled so that the largest is 100.

Top 10 peaks for 2θ from 10° to 80°, low angle first:
two_theta  intensity
16.9  7
24.0  8
29.5  100
34.2  91
38.4  4
49.2  65
58.4  46
61.3  23
72.1  11
79.8  20

Atomic structure:
a = 5.2406 Å, b = 5.2406 Å, c = 5.2406 Å
α = 90.00°, β = 90.00°, γ = 90.00°
Fractional positions:
Cu  0.0000  0.0000  0.0000
Sn  0.0000  0.0000  0.5000
Sn  0.0000  0.5000  0.0000
Sn  0.5000  0.0000  0.0000
I  0.5000  0.5000  0.5000

---

Calculated powder diffractogram
Compound: Li2Sn4I9
Radiation: a wavelength of 1.5418 Å
Structure: a cell relaxed with GGA-PBE
Intensities are scaled so that the largest is 100.

Top 10 peaks for 2θ from 10° to 80°, low angle first:
two_theta  intensity
24.5  36
24.6  48
24.8  100
25.4  78
25.9  42
26.3  66
32.4  37
32.6  35
38.7  38
40.0  37

Atomic structure:
a = 7.8360 Å, b = 8.0385 Å, c = 21.8149 Å
α = 87.14°, β = 87.81°, γ = 63.05°
Fractional positions:
Li  0.0437  0.0666  0.1726
Li  0.0496  0.9200  0.6770
Li  0.9504  0.0800  0.3230
Li  0.9563  0.9334  0.8274
Sn  0.3329  0.3359  0.4935
Sn  0.3334  0.4137  0.1505
Sn  0.3454  0.2773  0.6850
Sn  0.3879  0.3136  0.0020
Sn  0.6121  0.6864  0.9980
Sn  0.6546  0.7227  0.3150
Sn  0.6666  0.5863  0.8495
Sn  0.6671  0.6641  0.5065
I  0.0208  0.2251  0.7482
I  0.0256  0.3566  0.0847
I  0.0408  0.6108  0.5880
I  0.2263  0.7862  0.0845
I  0.2979  0.6313  0.7589
I  0.2989  0.0694  0.2607
I  0.3186  0.0020  0.5844
I  0.3439  0.6840  0.4225
I  0.3742  0.0049  0.9188
I  0.6258  0.9951  0.0812
I  0.6561  0.3160  0.5775
I  0.6814  0.9980  0.4156
I  0.7011  0.9306  0.7393
I  0.7021  0.3687  0.2411
I  0.7737  0.2138  0.9155
I  0.9592  0.3892  0.4120
I  0.9744  0.6434  0.9153
I  0.9792  0.7749  0.2518

---

Calculated powder diffractogram
Compound: NaLi5Hg6
Radiation: a wavelength of 1.5418 Å
Structure: a cell relaxed with GGA-PBE
Intensities are scaled so that the largest is 100.

Top 10 peaks for 2θ from 10° to 80°, low angle first:
two_theta  intensity
25.5  100
26.3  94
26.8  90
36.9  91
37.3  89
37.7  45
38.0  42
46.0  42
46.3  40
61.7  26

Atomic structure:
a = 4.7746 Å, b = 6.9992 Å, c = 7.4471 Å
α = 90.00°, β = 107.67°, γ = 90.00°
Fractional positions:
Na  0.0000  0.0000  0.0000
Li  0.0000  0.5000  0.0000
Li  0.3328  0.0000  0.6660
Li  0.3359  0.5000  0.6741
Li  0.6641  0.5000  0.3259
Li  0.6672  0.0000  0.3340
Hg  0.1740  0.2613  0.3458
Hg  0.1740  0.7387  0.3458
Hg  0.5000  0.2662  0.0000
Hg  0.5000  0.7338  0.0000
Hg  0.8260  0.2613  0.6542
Hg  0.8260  0.7387  0.6542

---

Calculated powder diffractogram
Compound: Ac4Ga3Sn5
Radiation: a wavelength of 1.5418 Å
Structure: a cell relaxed with GGA-PBE
Intensities are scaled so that the largest is 100.

Top 10 peaks for 2θ from 10° to 80°, low angle first:
two_theta  intensity
22.1  23
24.9  64
26.3  29
27.0  100
28.1  30
32.9  59
34.3  39
34.4  70
34.9  64
37.0  28

Atomic structure:
a = 8.0136 Å, b = 8.0136 Å, c = 12.9771 Å
α = 120.10°, β = 120.10°, γ = 37.39°
Fractional positions:
Ac  0.1199  0.1199  0.4722
Ac  0.2353  0.2353  0.8389
Ac  0.7647  0.7647  0.1611
Ac  0.8801  0.8801  0.5278
Ga  0.0000  0.0000  0.0000
Ga  0.3974  0.3974  0.1276
Ga  0.6026  0.6026  0.8724
Sn  0.2279  0.2279  0.3088
Sn  0.4402  0.4402  0.3631
Sn  0.5000  0.5000  0.0000
Sn  0.5598  0.5598  0.6369
Sn  0.7721  0.7721  0.6912

---

Calculated powder diffractogram
Compound: CuTeSeS
Radiation: a wavelength of 1.5418 Å
Structure: a cell relaxed with GGA-PBE
Intensities are scaled so that the largest is 100.

Top 10 peaks for 2θ from 10° to 80°, low angle first:
two_theta  intensity
12.8  18
25.7  27
26.9  100
28.2  18
29.7  47
31.4  15
40.3  40
45.0  18
45.8  37
48.8  17

Atomic structure:
a = 7.5650 Å, b = 3.7290 Å, c = 7.2829 Å
α = 90.00°, β = 108.13°, γ = 90.00°
Fractional positions:
Cu  0.0000  0.0000  0.0000
Cu  0.5000  0.5000  0.0000
Te  0.0279  0.0000  0.5546
Te  0.5279  0.5000  0.5546
Se  0.2878  0.0000  0.8935
Se  0.7878  0.5000  0.8935
S  0.1741  0.0000  0.3099
S  0.6741  0.5000  0.3099

---

Calculated powder diffractogram
Compound: Rb2SiCl5F
Radiation: a wavelength of 1.5418 Å
Structure: a cell relaxed with GGA-PBE
Intensities are scaled so that the largest is 100.

Top 10 peaks for 2θ from 10° to 80°, low angle first:
two_theta  intensity
15.4  29
17.7  11
25.3  41
31.0  100
35.8  47
36.3  20
44.3  15
51.5  14
51.9  24
61.4  20

Atomic structure:
a = 7.0519 Å, b = 7.0519 Å, c = 7.0519 Å
α = 119.60°, β = 119.60°, γ = 90.70°
Fractional positions:
Rb  0.0000  0.5000  0.5000
Rb  0.5000  0.0000  0.5000
Si  0.2484  0.2484  0.0000
Cl  0.0234  0.0234  0.5507
Cl  0.0234  0.4727  0.0000
Cl  0.4727  0.0234  0.0000
Cl  0.4731  0.4731  0.0000
Cl  0.4727  0.4727  0.4493
F  0.0790  0.0790  0.0000

---

Calculated powder diffractogram
Compound: Tb6Nd2Er3Tm
Radiation: a wavelength of 1.5418 Å
Structure: a cell relaxed with GGA-PBE
Intensities are scaled so that the largest is 100.

Top 7 peaks for 2θ from 10° to 80°, low angle first:
two_theta  intensity
30.8  100
35.7  51
51.3  36
61.0  14
61.1  28
64.1  12
75.6  6

Atomic structure:
a = 6.1634 Å, b = 6.1634 Å, c = 11.8035 Å
α = 94.97°, β = 94.97°, γ = 119.97°
Fractional positions:
Tb  0.0846  0.4168  0.7531
Tb  0.2475  0.2475  0.2466
Tb  0.4168  0.0846  0.7531
Tb  0.5832  0.9154  0.2469
Tb  0.7525  0.7525  0.7534
Tb  0.9154  0.5832  0.2469
Nd  0.3334  0.6666  0.5000
Nd  0.6666  0.3334  0.5000
Er  0.1663  0.8337  0.0000
Er  0.5000  0.5000  0.0000
Er  0.8337  0.1663  0.0000
Tm  0.0000  0.0000  0.5000

---

Calculated powder diffractogram
Compound: SmSnF7
Radiation: a wavelength of 1.5418 Å
Structure: a cell relaxed with GGA-PBE
Intensities are scaled so that the largest is 100.

Top 10 peaks for 2θ from 10° to 80°, low angle first:
two_theta  intensity
21.4  100
22.0  40
22.5  13
25.6  20
26.9  13
28.3  31
29.3  16
31.1  15
43.3  20
47.1  16

Atomic structure:
a = 9.1535 Å, b = 5.7437 Å, c = 12.2970 Å
α = 90.00°, β = 117.79°, γ = 90.00°
Fractional positions:
Sm  0.1880  0.2420  0.2655
Sm  0.1880  0.2580  0.7655
Sm  0.8120  0.7420  0.2345
Sm  0.8120  0.7580  0.7345
Sn  0.2729  0.7441  0.0430
Sn  0.2729  0.7559  0.5430
Sn  0.7271  0.2441  0.4570
Sn  0.7271  0.2559  0.9570
F  0.0271  0.7403  0.9466
F  0.0271  0.7597  0.4466
F  0.0298  0.5811  0.7330
F  0.0298  0.9189  0.2330
F  0.2559  0.5439  0.1705
F  0.2559  0.9561  0.6705
F  0.2698  0.0196  0.1414
F  0.2698  0.4804  0.6414
F  0.2833  0.0451  0.4548
F  0.2833  0.4549  0.9548
F  0.2916  0.5475  0.4199
F  0.2916  0.9525  0.9199
F  0.4819  0.2313  0.3595
F  0.4819  0.2687  0.8595
F  0.5181  0.7313  0.1405
F  0.5181  0.7687  0.6405
F  0.7084  0.0475  0.0801
F  0.7084  0.4525  0.5801
F  0.7167  0.5451  0.0452
F  0.7167  0.9549  0.5452
F  0.7302  0.5196  0.3586
F  0.7302  0.9804  0.8586
F  0.7441  0.0439  0.3295
F  0.7441  0.4561  0.8295
F  0.9702  0.0811  0.7670
F  0.9702  0.4189  0.2670
F  0.9729  0.2403  0.5534
F  0.9729  0.2597  0.0534